(1)
Diffraction record for NaHoMnF6. The X-ray powder pattern is calculated, not measured: it uses DFT lattice parameters and positions (GGA+U) and Cu Kα (λ = 1.5418 Å).
Lines closer than 0.1° are merged.

Structure:
Cell: 5.131 5.131 10.342 Å, 90.00 90.00 90.00°
Sites, in units of the cell vectors:
1 Na 0.000 0.000 0.000
2 Na 0.500 0.500 0.500
3 Ho 0.000 0.000 0.334
4 Ho 0.500 0.500 0.834
5 Mn 0.000 0.000 0.668
6 Mn 0.500 0.500 0.168
7 F 0.184 0.184 0.502
8 F 0.200 0.200 0.823
9 F 0.205 0.205 0.179
10 F 0.295 0.705 0.679
11 F 0.300 0.700 0.323
12 F 0.316 0.684 0.002
13 F 0.684 0.316 0.002
14 F 0.700 0.300 0.323
15 F 0.705 0.295 0.679
16 F 0.795 0.795 0.179
17 F 0.800 0.800 0.823
18 F 0.816 0.816 0.502

Largest 10 diffraction maxima, by intensity, 15 to 90 degrees two-theta:
- 24.5 deg, intensity 100
- 19.3 deg, intensity 85
- 47.6 deg, intensity 72
- 31.3 deg, intensity 67
- 17.1 deg, intensity 30
- 30.1 deg, intensity 28
- 40.3 deg, intensity 25
- 60.4 deg, intensity 25
- 50.3 deg, intensity 20
- 39.2 deg, intensity 16

***

(2)
Diffraction record for HoMoO4F. The X-ray powder pattern is calculated, not measured: it uses DFT lattice parameters and positions (GGA+U) and Cu Kα (λ = 1.5418 Å).
Lines closer than 0.1° are merged.

Structure:
Cell: 6.016 6.016 7.018 Å, 104.48 104.48 75.31°
Sites, in units of the cell vectors:
1 Ho 0.202 0.202 0.109
2 Ho 0.798 0.798 0.891
3 Mo 0.348 0.348 0.720
4 Mo 0.652 0.652 0.280
5 O 0.101 0.484 0.843
6 O 0.259 0.259 0.457
7 O 0.457 0.457 0.225
8 O 0.484 0.101 0.843
9 O 0.516 0.899 0.157
10 O 0.543 0.543 0.775
11 O 0.741 0.741 0.543
12 O 0.899 0.516 0.157
13 F 0.015 0.015 0.830
14 F 0.985 0.985 0.170

Largest 10 diffraction maxima, by intensity, 15 to 90 degrees two-theta:
- 24.2 deg, intensity 100
- 28.2 deg, intensity 84
- 19.6 deg, intensity 63
- 27.1 deg, intensity 50
- 30.9 deg, intensity 44
- 35.4 deg, intensity 31
- 45.2 deg, intensity 30
- 46.8 deg, intensity 29
- 36.7 deg, intensity 27
- 18.4 deg, intensity 22

***

(3)
Diffraction record for HoMoO4F. The X-ray powder pattern is calculated, not measured: it uses DFT lattice parameters and positions (GGA+U) and Cu Kα (λ = 1.5418 Å).
Lines closer than 0.1° are merged.

Structure:
Cell: 5.250 12.413 6.709 Å, 90.00 113.42 90.00°
Sites, in units of the cell vectors:
1 Ho 0.140 0.051 0.300
2 Ho 0.140 0.449 0.800
3 Ho 0.860 0.551 0.200
4 Ho 0.860 0.949 0.700
5 Mo 0.419 0.143 0.868
6 Mo 0.419 0.357 0.368
7 Mo 0.581 0.643 0.632
8 Mo 0.581 0.857 0.132
9 O 0.189 0.065 0.962
10 O 0.189 0.435 0.462
11 O 0.263 0.652 0.406
12 O 0.263 0.848 0.906
13 O 0.306 0.222 0.295
14 O 0.306 0.278 0.795
15 O 0.498 0.069 0.662
16 O 0.498 0.431 0.162
17 O 0.502 0.569 0.838
18 O 0.502 0.931 0.338
19 O 0.694 0.722 0.205
20 O 0.694 0.778 0.705
21 O 0.737 0.152 0.094
22 O 0.737 0.348 0.594
23 O 0.811 0.565 0.538
24 O 0.811 0.935 0.038
25 F 0.039 0.598 0.961
26 F 0.039 0.902 0.461
27 F 0.961 0.098 0.539
28 F 0.961 0.402 0.039

Largest 10 diffraction maxima, by intensity, 15 to 90 degrees two-theta:
- 28.4 deg, intensity 100
- 23.3 deg, intensity 93
- 28.6 deg, intensity 53
- 27.5 deg, intensity 48
- 19.8 deg, intensity 40
- 34.9 deg, intensity 39
- 32.3 deg, intensity 33
- 31.3 deg, intensity 31
- 46.3 deg, intensity 30
- 34.3 deg, intensity 26